(1)
# BaMgAl3P2H2O14
Calculated powder X-ray diffraction pattern, a wavelength of 1.5418 Å. Input: the PBE geometry in the Materials Project.
Peak positions follow from Bragg's law for the DFT cell and can differ from measured ones.

Main lines, in order of rising 2θ (10° ≤ 2θ ≤ 90°):
2θ = 14.66°, I = 31
2θ = 15.64°, I = 100
2θ = 16.36°, I = 26
2θ = 24.75°, I = 30
2θ = 26.82°, I = 32
2θ = 27.65°, I = 23
2θ = 28.11°, I = 58
2θ = 28.68°, I = 31
2θ = 30.24°, I = 38
2θ = 35.68°, I = 49

Crystal structure
Cell: 6.6487 7.2278 7.6198 Å, 61.96 64.17 62.64°
Space group P1 (No. 1)
Unique sites:
Ba1 0.0000 0.0000 0.0000 [1 per cell]
Mg1 0.2968 0.5852 0.8235 [1 per cell]
Al1 0.0482 0.4453 0.4594 [1 per cell]
Al2 0.0495 0.9084 0.4814 [1 per cell]
Al3 0.5619 0.9085 0.4815 [1 per cell]
P1 0.3374 0.2095 0.1167 [1 per cell]
P2 0.7749 0.5908 0.8611 [1 per cell]
H1 0.4506 0.6705 0.4294 [1 per cell]
H2 0.7187 0.2109 0.3532 [1 per cell]
O1 0.0325 0.1413 0.5643 [1 per cell]
O2 0.1326 0.6823 0.3866 [1 per cell]
O3 0.1708 0.0737 0.2066 [1 per cell]
O4 0.2014 0.4342 0.1641 [1 per cell]
O5 0.2634 0.1412 0.5646 [1 per cell]
O6 0.3606 0.7572 0.5229 [1 per cell]
O7 0.4244 0.2722 0.8804 [1 per cell]
O8 0.5430 0.7405 0.7791 [1 per cell]
O9 0.5496 0.0739 0.2070 [1 per cell]
O10 0.7144 0.4815 0.0916 [1 per cell]
O11 0.7444 0.0590 0.4538 [1 per cell]
O12 0.7996 0.6824 0.3866 [1 per cell]
O13 0.9180 0.4170 0.7482 [1 per cell]
O14 0.9389 0.7406 0.7791 [1 per cell]



(2)
# LiPH3NO3
Calculated powder X-ray diffraction pattern, a wavelength of 1.5418 Å. Input: the PBE geometry in the Materials Project.
Peak positions follow from Bragg's law for the DFT cell and can differ from measured ones.

Main lines, in order of rising 2θ (10° ≤ 2θ ≤ 90°):
2θ = 10.36°, I = 100
2θ = 10.56°, I = 77
2θ = 18.14°, I = 73
2θ = 21.23°, I = 38
2θ = 25.30°, I = 47
2θ = 25.59°, I = 70
2θ = 26.45°, I = 70
2θ = 27.42°, I = 29
2θ = 31.44°, I = 37
2θ = 33.51°, I = 39

Crystal structure
Cell: 5.0783 8.6042 8.9954 Å, 100.74 103.80 94.62°
Space group P-1 (No. 2)
Unique sites:
Li1 0.1442 0.1327 0.4900 [2 per cell]
Li2 0.1850 0.4300 0.0717 [2 per cell]
P1 0.3999 0.7696 0.0088 [2 per cell]
P2 0.4658 0.9269 0.7325 [2 per cell]
H1 0.0032 0.6115 0.3478 [2 per cell]
H2 0.0960 0.8243 0.7976 [2 per cell]
H3 0.1364 0.9022 0.1507 [2 per cell]
H4 0.1912 0.2954 0.7565 [2 per cell]
H5 0.3458 0.3753 0.3269 [2 per cell]
H6 0.4974 0.4565 0.6709 [2 per cell]
N1 0.3038 0.8309 0.8383 [2 per cell]
N2 0.3375 0.9091 0.1499 [2 per cell]
O1 0.1523 0.3271 0.6536 [2 per cell]
O2 0.2069 0.6208 0.9916 [2 per cell]
O3 0.2344 0.9702 0.6128 [2 per cell]
O4 0.2963 0.2419 0.9521 [2 per cell]
O5 0.3192 0.4818 0.3007 [2 per cell]
O6 0.3327 0.1726 0.3299 [2 per cell]



(3)
# RbAuSe2O8
Calculated powder X-ray diffraction pattern, a wavelength of 1.5418 Å. Input: the PBE geometry in the Materials Project.
Peak positions follow from Bragg's law for the DFT cell and can differ from measured ones.

Main lines, in order of rising 2θ (10° ≤ 2θ ≤ 90°):
2θ = 12.95°, I = 82
2θ = 23.65°, I = 78
2θ = 25.17°, I = 86
2θ = 28.93°, I = 100
2θ = 31.62°, I = 22
2θ = 33.38°, I = 31
2θ = 39.01°, I = 25
2θ = 39.92°, I = 23
2θ = 41.32°, I = 27
2θ = 47.35°, I = 20

Crystal structure
Cell: 11.3185 5.3689 7.7430 Å, 90.00 118.04 90.00°
Space group C2/m (No. 12)
Unique sites:
Rb1 0.0000 0.0000 0.0000 [2 per cell]
Au1 0.0000 0.5000 0.5000 [2 per cell]
Se1 0.1965 0.0000 0.6542 [4 per cell]
O1 0.1180 0.2497 0.7054 [8 per cell]
O2 0.1497 0.5000 0.1672 [4 per cell]
O3 0.1711 0.0000 0.4281 [4 per cell]



(4)
# BaBiO3
Calculated powder X-ray diffraction pattern, a wavelength of 1.5418 Å. Input: the PBE geometry in the Materials Project.
Peak positions follow from Bragg's law for the DFT cell and can differ from measured ones.

Main lines, in order of rising 2θ (10° ≤ 2θ ≤ 90°):
2θ = 20.05°, I = 9
2θ = 28.51°, I = 100
2θ = 40.75°, I = 28
2θ = 45.82°, I = 5
2θ = 50.48°, I = 43
2θ = 59.00°, I = 18
2θ = 66.81°, I = 19
2θ = 74.18°, I = 6
2θ = 81.30°, I = 23
2θ = 88.28°, I = 3

Crystal structure
Cell: 4.4281 4.4281 4.4281 Å, 90.00 90.00 90.00°
Space group Pm-3m (No. 221)
Unique sites:
Ba1 0.0000 0.0000 0.0000 [1 per cell]
Bi1 0.5000 0.5000 0.5000 [1 per cell]
O1 0.0000 0.5000 0.5000 [3 per cell]



(5)
# YNi2
Calculated powder X-ray diffraction pattern, a wavelength of 1.5418 Å. Input: the PBE geometry in the Materials Project.
Peak positions follow from Bragg's law for the DFT cell and can differ from measured ones.

Main lines, in order of rising 2θ (10° ≤ 2θ ≤ 90°):
2θ = 35.38°, I = 39
2θ = 41.75°, I = 100
2θ = 43.70°, I = 30
2θ = 50.91°, I = 1
2θ = 63.52°, I = 14
2θ = 67.88°, I = 29
2θ = 74.86°, I = 24
2θ = 85.62°, I = 6
2θ = 89.59°, I = 10

Crystal structure
Cell: 7.1748 7.1748 7.1748 Å, 90.00 90.00 90.00°
Space group Fd-3m (No. 227, origin choice 2)
Unique sites:
Y1 0.1250 0.1250 0.1250 [8 per cell]
Ni1 0.0000 0.0000 0.5000 [16 per cell]



(6)
# HoCoGe2
Calculated powder X-ray diffraction pattern, a wavelength of 1.5418 Å. Input: the PBE geometry in the Materials Project.
Peak positions follow from Bragg's law for the DFT cell and can differ from measured ones.

Main lines, in order of rising 2θ (10° ≤ 2θ ≤ 90°):
2θ = 30.87°, I = 22
2θ = 34.58°, I = 100
2θ = 34.79°, I = 37
2θ = 39.18°, I = 29
2θ = 43.19°, I = 28
2θ = 43.82°, I = 28
2θ = 54.78°, I = 13
2θ = 56.61°, I = 18
2θ = 60.23°, I = 18
2θ = 63.22°, I = 18

Crystal structure
Cell: 4.1320 16.5010 4.1895 Å, 90.00 90.00 90.00°
Space group Cmcm (No. 63)
Unique sites:
Ho1 0.0000 0.1082 0.2500 [4 per cell]
Co1 0.0000 0.3187 0.2500 [4 per cell]
Ge1 0.0000 0.2517 0.7500 [4 per cell]
Ge2 0.0000 0.4554 0.2500 [4 per cell]



(7)
# CeSnAu
Calculated powder X-ray diffraction pattern, a wavelength of 1.5418 Å. Input: the PBE geometry in the Materials Project.
Peak positions follow from Bragg's law for the DFT cell and can differ from measured ones.

Main lines, in order of rising 2θ (10° ≤ 2θ ≤ 90°):
2θ = 23.28°, I = 13
2θ = 31.83°, I = 100
2θ = 37.53°, I = 76
2θ = 44.63°, I = 15
2θ = 47.61°, I = 13
2θ = 50.01°, I = 29
2θ = 62.14°, I = 35
2θ = 64.17°, I = 27
2θ = 67.72°, I = 14
2θ = 86.94°, I = 15

Crystal structure
Cell: 4.7933 4.7933 7.6407 Å, 90.00 90.00 120.00°
Space group P6_3/mmc (No. 194)
Unique sites:
Ce1 0.0000 0.0000 0.0000 [2 per cell]
Sn1 0.3333 0.6667 0.2500 [2 per cell]
Au1 0.3333 0.6667 0.7500 [2 per cell]



(8)
# TiRu
Calculated powder X-ray diffraction pattern, a wavelength of 1.5418 Å. Input: the PBE geometry in the Materials Project.
Peak positions follow from Bragg's law for the DFT cell and can differ from measured ones.

Main lines, in order of rising 2θ (10° ≤ 2θ ≤ 90°):
2θ = 28.94°, I = 18
2θ = 41.38°, I = 100
2θ = 51.29°, I = 5
2θ = 59.96°, I = 16
2θ = 67.93°, I = 7
2θ = 75.47°, I = 31
2θ = 89.93°, I = 10

Crystal structure
Cell: 3.0855 3.0855 3.0855 Å, 90.00 90.00 90.00°
Space group Pm-3m (No. 221)
Unique sites:
Ti1 0.0000 0.0000 0.0000 [1 per cell]
Ru1 0.5000 0.5000 0.5000 [1 per cell]